For Mn2Pb2O5, a DFT-relaxed cell (GGA+U, the Materials Project) gives the simulated X-ray diffraction stick pattern in this record (Cu Ka).
No peak broadening, texture or thermal motion is included.

Main lines, sorted by position (10° ≤ 2θ ≤ 90°):
- hkl 0 1 1, d = 3.864 Å, rel. 20
- hkl 1 0 5, d = 3.489 Å, rel. 25
- hkl 2 0 0, d = 2.922 Å, rel. 18
- hkl 2 0 1, d = 2.896 Å, rel. 17
- hkl 1 1 4, d = 2.795 Å, rel. 100
- hkl 0 0 8, d = 2.718 Å, rel. 26

Crystal structure
Cell lengths 5.844, 3.926, 21.746 Å; angles 90.00, 90.00, 90.00 degrees
Space group Pnma (No. 62)
Inequivalent atoms, fractional coordinates:
Mn1 0.040 0.250 0.185 (multiplicity 4)
Mn2 0.051 0.250 0.447 (multiplicity 4)
Pb1 0.056 0.750 0.072 (multiplicity 4)
Pb2 0.081 0.750 0.310 (multiplicity 4)
O1 0.017 0.750 0.181 (multiplicity 4)
O2 0.076 0.750 0.466 (multiplicity 4)
O3 0.198 0.750 0.890 (multiplicity 4)
O4 0.226 0.750 0.615 (multiplicity 4)
O5 0.234 0.750 0.757 (multiplicity 4)